# 1
Diffraction record for LaMnO3. The X-ray diffraction stick pattern is theoretical, not measured: it uses a structure optimized by DFT (GGA+U) and Cu Ka.
Neutral-atom scattering factors, no anomalous dispersion.

Cell and atoms:
```
LaMnO3
1.0
5.807 0.000 0.000
0.000 12.905 0.000
0.000 0.000 4.137
La Mn O
4 4 12
direct
0.139 0.250 0.101
0.361 0.750 0.601
0.639 0.250 0.399
0.861 0.750 0.899
0.000 0.000 0.000
0.000 0.500 0.000
0.500 0.000 0.500
0.500 0.500 0.500
0.016 0.750 0.370
0.244 0.571 0.745
0.244 0.929 0.745
0.256 0.071 0.245
0.256 0.429 0.245
0.484 0.250 0.870
0.516 0.750 0.130
0.744 0.571 0.755
0.744 0.929 0.755
0.756 0.071 0.255
0.756 0.429 0.255
0.984 0.250 0.630
```

Main lines, by angle (10° ≤ 2θ ≤ 90°):
| 2θ (°) | I (rel.) |
| --- | --- |
| 13.7 | 67.3 |
| 22.6 | 56.0 |
| 26.5 | 71.7 |
| 27.4 | 73.3 |
| 27.6 | 100.0 |
| 31.6 | 57.6 |
| 33.8 | 45.8 |
| 37.4 | 38.6 |
| 38.6 | 52.2 |
| 47.1 | 40.5 |

***

# 2
Diffraction record for LaMnO3. The X-ray diffraction stick pattern is theoretical, not measured: it uses a structure optimized by DFT (GGA+U) and Cu Ka.
Neutral-atom scattering factors, no anomalous dispersion.

Cell and atoms:
```
LaMnO3
1.0
2.826 1.631 4.507
-2.826 1.631 4.507
0.000 -3.263 4.507
La Mn O
2 2 6
direct
0.250 0.250 0.250
0.750 0.750 0.750
0.000 0.000 0.000
0.500 0.500 0.500
0.176 0.750 0.324
0.250 0.676 0.824
0.324 0.176 0.750
0.676 0.824 0.250
0.750 0.324 0.176
0.824 0.250 0.676
```

Main lines, by angle (10° ≤ 2θ ≤ 90°):
| 2θ (°) | I (rel.) |
| --- | --- |
| 22.4 | 32.5 |
| 31.7 | 96.6 |
| 32.2 | 100.0 |
| 39.1 | 24.6 |
| 45.8 | 58.7 |
| 56.4 | 24.6 |
| 56.7 | 41.2 |
| 57.7 | 18.6 |
| 67.3 | 17.0 |
| 76.3 | 16.8 |

***

# 3
Diffraction record for La11Mn12O36. The X-ray diffraction stick pattern is theoretical, not measured: it uses a structure optimized by DFT (GGA+U) and Cu Ka.
Neutral-atom scattering factors, no anomalous dispersion.

Cell and atoms:
```
La11Mn12O36
1.0
4.830 -8.366 0.000
4.830 8.366 0.000
-3.221 0.000 8.974
La Mn O
11 12 36
direct
0.000 0.000 0.000
0.089 0.421 0.243
0.168 0.832 0.500
0.252 0.260 0.759
0.413 0.072 0.241
0.500 0.500 0.500
0.579 0.911 0.757
0.667 0.333 0.000
0.740 0.748 0.241
0.834 0.166 0.500
0.928 0.587 0.759
0.045 0.709 0.125
0.126 0.125 0.377
0.210 0.543 0.628
0.291 0.955 0.875
0.374 0.376 0.125
0.457 0.790 0.372
0.542 0.208 0.626
0.624 0.626 0.875
0.706 0.038 0.124
0.792 0.458 0.374
0.875 0.874 0.623
0.962 0.294 0.876
0.018 0.539 0.498
0.020 0.980 0.500
0.048 0.419 0.735
0.062 0.876 0.749
0.124 0.938 0.251
0.128 0.313 0.499
0.175 0.349 0.000
0.175 0.825 0.000
0.223 0.716 0.266
0.231 0.269 0.251
0.284 0.777 0.734
0.296 0.148 0.000
0.353 0.647 0.500
0.356 0.208 0.501
0.397 0.109 0.752
0.405 0.539 0.735
0.461 0.595 0.265
0.461 0.982 0.502
0.522 0.043 0.000
0.522 0.478 0.000
0.563 0.369 0.247
0.581 0.952 0.265
0.631 0.437 0.753
0.651 0.825 0.000
0.687 0.872 0.501
0.688 0.312 0.500
0.726 0.205 0.752
0.731 0.769 0.749
0.792 0.644 0.499
0.795 0.274 0.248
0.852 0.148 0.000
0.852 0.704 0.000
0.891 0.603 0.248
0.898 0.044 0.251
0.956 0.102 0.749
0.957 0.478 0.000
```

Main lines, by angle (10° ≤ 2θ ≤ 90°):
| 2θ (°) | I (rel.) |
| --- | --- |
| 22.7 | 24.3 |
| 32.1 | 98.1 |
| 32.4 | 100.0 |
| 39.6 | 24.5 |
| 46.3 | 62.5 |
| 57.2 | 22.7 |
| 57.4 | 39.9 |
| 58.0 | 18.4 |
| 67.1 | 16.6 |
| 67.9 | 17.6 |

***

# 4
Diffraction record for LaMn7O12. The X-ray diffraction stick pattern is theoretical, not measured: it uses a structure optimized by DFT (GGA+U) and Cu Ka.
Neutral-atom scattering factors, no anomalous dispersion.

Cell and atoms:
```
LaMn7O12
1.0
-3.796 3.796 3.796
3.796 -3.796 3.796
3.796 3.796 -3.796
La Mn O
1 7 12
direct
0.000 0.000 0.000
0.000 0.000 0.500
0.000 0.500 0.000
0.000 0.500 0.500
0.500 0.000 0.000
0.500 0.000 0.500
0.500 0.500 0.000
0.500 0.500 0.500
0.133 0.308 0.825
0.175 0.483 0.308
0.175 0.867 0.692
0.308 0.175 0.483
0.308 0.825 0.133
0.483 0.308 0.175
0.517 0.692 0.825
0.692 0.175 0.867
0.692 0.825 0.517
0.825 0.133 0.308
0.825 0.517 0.692
0.867 0.692 0.175
```

Main lines, by angle (10° ≤ 2θ ≤ 90°):
| 2θ (°) | I (rel.) |
| --- | --- |
| 16.5 | 13.7 |
| 28.8 | 4.7 |
| 33.4 | 100.0 |
| 37.5 | 12.2 |
| 41.2 | 4.6 |
| 44.7 | 11.8 |
| 47.9 | 26.1 |
| 59.7 | 48.8 |
| 70.1 | 12.3 |
| 79.9 | 16.1 |

***

# 5
Diffraction record for LaMnO3. The X-ray diffraction stick pattern is theoretical, not measured: it uses a structure optimized by DFT (GGA+U) and Cu Ka.
Neutral-atom scattering factors, no anomalous dispersion.

Cell and atoms:
```
LaMnO3
1.0
5.545 0.000 0.000
0.004 5.652 0.000
0.209 0.086 7.982
La Mn O
4 4 12
direct
0.001 0.004 0.250
0.497 0.506 0.250
0.503 0.494 0.750
0.999 0.996 0.750
0.000 0.500 0.000
0.000 0.500 0.500
0.500 0.000 0.000
0.500 0.000 0.500
0.004 0.581 0.263
0.197 0.223 0.459
0.199 0.782 0.964
0.283 0.691 0.534
0.285 0.305 0.034
0.497 0.936 0.241
0.503 0.064 0.759
0.715 0.695 0.966
0.717 0.309 0.466
0.801 0.218 0.036
0.803 0.777 0.541
0.996 0.419 0.737
```

Main lines, by angle (10° ≤ 2θ ≤ 90°):
| 2θ (°) | I (rel.) |
| --- | --- |
| 22.5 | 32.9 |
| 31.4 | 49.6 |
| 31.7 | 97.1 |
| 32.0 | 51.3 |
| 32.3 | 100.0 |
| 45.5 | 30.1 |
| 45.9 | 57.1 |
| 56.1 | 35.9 |
| 56.5 | 22.7 |
| 56.8 | 20.9 |

***

# 6
Diffraction record for LaMnO3. The X-ray diffraction stick pattern is theoretical, not measured: it uses a structure optimized by DFT (GGA+U) and Cu Ka.
Neutral-atom scattering factors, no anomalous dispersion.

Cell and atoms:
```
LaMnO3
1.0
3.933 -3.937 0.000
3.933 3.937 0.000
0.000 0.000 3.996
La Mn O
2 2 6
direct
0.000 0.000 0.000
0.500 0.500 0.000
0.000 0.500 0.500
0.500 0.000 0.500
0.000 0.500 0.000
0.196 0.804 0.500
0.304 0.304 0.500
0.500 0.000 0.000
0.696 0.696 0.500
0.804 0.196 0.500
```

Main lines, by angle (10° ≤ 2θ ≤ 90°):
| 2θ (°) | I (rel.) |
| --- | --- |
| 22.6 | 17.1 |
| 31.9 | 100.0 |
| 32.2 | 55.7 |
| 39.5 | 28.1 |
| 45.4 | 17.8 |
| 46.1 | 30.5 |
| 56.7 | 21.7 |
| 57.2 | 43.0 |
| 66.7 | 18.6 |
| 76.6 | 10.2 |

***

# 7
Diffraction record for LaMn7O12. The X-ray diffraction stick pattern is theoretical, not measured: it uses a structure optimized by DFT (GGA+U) and Cu Ka.
Neutral-atom scattering factors, no anomalous dispersion.

Cell and atoms:
```
LaMn7O12
1.0
5.354 -3.785 0.000
5.354 3.785 0.000
-5.354 0.000 5.409
La Mn O
1 7 12
direct
0.000 0.000 0.000
0.000 0.000 0.500
0.000 0.500 0.000
0.000 0.500 0.500
0.500 0.000 0.000
0.500 0.000 0.500
0.500 0.500 0.000
0.500 0.500 0.500
0.134 0.485 0.315
0.171 0.171 0.866
0.179 0.179 0.490
0.300 0.683 0.167
0.317 0.700 0.833
0.485 0.134 0.315
0.515 0.866 0.685
0.683 0.300 0.167
0.700 0.317 0.833
0.821 0.821 0.510
0.829 0.829 0.134
0.866 0.515 0.685
```

Main lines, by angle (10° ≤ 2θ ≤ 90°):
| 2θ (°) | I (rel.) |
| --- | --- |
| 16.5 | 13.6 |
| 33.1 | 21.4 |
| 33.4 | 100.0 |
| 37.4 | 7.1 |
| 47.8 | 21.0 |
| 48.1 | 10.4 |
| 59.3 | 19.9 |
| 59.6 | 9.8 |
| 59.8 | 29.5 |
| 70.1 | 9.9 |